Structure and computed X-ray powder pattern of BaCa3 (the PBE geometry in the Materials Project; Cu Ka).
Kinematic intensities with the Lorentz-polarization factor, no thermal factor.

Main lines, in order of falling intensity (10° ≤ 2θ ≤ 90°):
| two_theta | d/Å | I (rel.) | index |
| --- | --- | --- | --- |
| 27.18 | 3.281 | 100 | 1 0 4 |
| 31.48 | 2.842 | 50 | 0 1 8 |
| 53.47 | 1.714 | 41 | 0 2 4 |
| 45.12 | 2.009 | 35 | 1 1 0 |
| 72.49 | 1.304 | 15 | 2 1 4 |
| 13.49 | 6.561 | 15 | 0 0 6 |
| 74.69 | 1.271 | 14 | 1 2 8 |
| 89.63 | 1.094 | 12 | 3 0 12 |

```
data_BaCa3
_chemical_formula_sum 'Ba3 Ca9'
_cell_length_a 4.0191
_cell_length_b 4.0191
_cell_length_c 39.3682
_cell_angle_alpha 90.00
_cell_angle_beta 90.00
_cell_angle_gamma 120.00
_symmetry_space_group_name_H-M 'R -3 m'
_symmetry_Int_Tables_number 166
_symmetry_space_group_name_Hall '-R 3 2"'
loop_
_atom_site_label
_atom_site_fract_x
_atom_site_fract_y
_atom_site_fract_z
Ba1 0.0000 0.0000 0.0000
Ca1 0.0000 0.0000 0.2457
Ca2 0.0000 0.0000 0.5000
```